(1)
Computed powder diffractogram
Compound: Nd3SCl3
Radiation: Cu Kα (weighted mean of Kα1 and Kα2)
Structure: DFT lattice parameters and positions (GGA-PBE)
Kinematic intensities with the Lorentz-polarization factor, no thermal factor.

Structural model:
Cell: 6.9901 6.9901 30.5869 Å, 90.00 90.00 120.00°
Space group R-3 (No. 148, hexagonal axes)
Symmetry-distinct sites (fractional):
Nd (0.0000, 0.3440, 0.4487) (multiplicity 18)
S (0.0000, 0.0000, 0.1667) (multiplicity 6)
Cl (0.0001, 0.3253, 0.6066) (multiplicity 18)

Principal peaks in the range 2θ from 10° to 80°, in order of rising 2θ:
(0 0 6), 17.40 deg, rel. 127
(1 1 0), 25.49 deg, rel. 234
(2 -1 3), 26.97 deg, rel. 377
(1 1 6), 31.02 deg, rel. 1000
(1 1 9), 36.89 deg, rel. 155
(2 -1 12), 43.97 deg, rel. 294
(3 0 0), 44.92 deg, rel. 283
(2 -1 15), 51.92 deg, rel. 125
(4 -2 6), 55.59 deg, rel. 179
(4 1 6), 74.15 deg, rel. 146

***

(2)
Computed powder diffractogram
Compound: Nd4SiS2Cl
Radiation: Cu Kα (weighted mean of Kα1 and Kα2)
Structure: DFT lattice parameters and positions (GGA-PBE)
Kinematic intensities with the Lorentz-polarization factor, no thermal factor.

Structural model:
Cell: 7.1362 4.1255 7.2617 Å, 90.00 109.02 90.00°
Space group P2/m (No. 10)
Symmetry-distinct sites (fractional):
Nd (0.2316, 0.0000, 0.2264) (multiplicity 2)
Nd (0.2435, 0.5000, 0.7612) (multiplicity 2)
Si (0.5000, 0.0000, 0.0000) (multiplicity 1)
S (0.0000, 0.0000, 0.5000) (multiplicity 1)
S (0.0000, 0.5000, 0.0000) (multiplicity 1)
Cl (0.5000, 0.5000, 0.5000) (multiplicity 1)

Principal peaks in the range 2θ from 10° to 80°, in order of rising 2θ:
(0 0 2), 25.96 deg, rel. 184
(1 1 -1), 26.42 deg, rel. 559
(2 0 -2), 30.47 deg, rel. 1000
(1 1 -3), 43.33 deg, rel. 351
(0 2 0), 43.92 deg, rel. 360
(0 2 2), 51.73 deg, rel. 173
(2 2 0), 51.99 deg, rel. 90
(2 2 -2), 54.39 deg, rel. 185
(0 2 4), 71.50 deg, rel. 91
(1 3 1), 72.36 deg, rel. 103

***

(3)
Computed powder diffractogram
Compound: Nd8Se6Cl
Radiation: Cu Kα (weighted mean of Kα1 and Kα2)
Structure: DFT lattice parameters and positions (GGA-PBE)
Kinematic intensities with the Lorentz-polarization factor, no thermal factor.

Structural model:
Cell: 11.0134 11.0134 4.3201 Å, 90.00 90.00 120.00°
Space group P-3 (No. 147)
Symmetry-distinct sites (fractional):
Nd (0.0383, 0.3483, 0.2578) (multiplicity 6)
Nd (0.3333, 0.6667, 0.7457) (multiplicity 2)
Se (0.1361, 0.6546, 0.2449) (multiplicity 6)
Cl (0.0000, 0.0000, 0.5000) (multiplicity 1)

Principal peaks in the range 2θ from 10° to 80°, in order of rising 2θ:
(1 1 1), 26.22 deg, rel. 730
(2 0 1), 27.87 deg, rel. 573
(3 0 0), 28.07 deg, rel. 1000
(1 2 1), 32.34 deg, rel. 820
(3 1 0), 33.89 deg, rel. 318
(4 -2 1), 38.78 deg, rel. 919
(0 0 2), 41.82 deg, rel. 318
(2 3 1), 46.52 deg, rel. 501
(3 0 2), 51.12 deg, rel. 326
(5 3 1), 72.78 deg, rel. 261

***

(4)
Computed powder diffractogram
Compound: NdSeCl
Radiation: Cu Kα (weighted mean of Kα1 and Kα2)
Structure: DFT lattice parameters and positions (GGA-PBE)
Kinematic intensities with the Lorentz-polarization factor, no thermal factor.

Structural model:
Cell: 4.0836 4.0836 22.0958 Å, 90.00 90.00 90.00°
Space group I-4m2 (No. 119)
Symmetry-distinct sites (fractional):
Nd (0.0000, 0.0000, 0.1592) (multiplicity 4)
Se (0.0000, 0.0000, 0.2988) (multiplicity 4)
Cl (0.0000, 0.5000, 0.0719) (multiplicity 4)

Principal peaks in the range 2θ from 10° to 80°, in order of rising 2θ:
(1 0 1), 22.14 deg, rel. 356
(0 0 6), 24.17 deg, rel. 359
(1 0 3), 24.93 deg, rel. 640
(1 1 0), 30.97 deg, rel. 855
(1 1 2), 32.04 deg, rel. 968
(1 0 7), 35.96 deg, rel. 1000
(1 1 6), 39.66 deg, rel. 906
(1 0 9), 42.99 deg, rel. 527
(2 0 0), 44.37 deg, rel. 596
(2 1 7), 58.38 deg, rel. 487

***

(5)
Computed powder diffractogram
Compound: Nd4SiCl5
Radiation: Cu Kα (weighted mean of Kα1 and Kα2)
Structure: DFT lattice parameters and positions (GGA-PBE)
Kinematic intensities with the Lorentz-polarization factor, no thermal factor.

Structural model:
Cell: 18.2783 4.1065 8.4247 Å, 90.00 104.70 90.00°
Space group C2/m (No. 12)
Symmetry-distinct sites (fractional):
Nd (0.0000, 0.0000, 0.2328) (multiplicity 4)
Nd (0.1557, 0.5000, 0.0938) (multiplicity 4)
Si (0.0000, 0.5000, 0.0000) (multiplicity 2)
Cl (0.0000, 0.5000, 0.5000) (multiplicity 2)
Cl (0.1657, 0.0000, 0.3313) (multiplicity 4)
Cl (0.1707, 0.0000, 0.8587) (multiplicity 4)

Principal peaks in the range 2θ from 10° to 80°, in order of rising 2θ:
(2 0 0), 10.01 deg, rel. 211
(0 0 1), 10.86 deg, rel. 465
(2 0 1), 16.56 deg, rel. 132
(3 1 0), 26.45 deg, rel. 201
(1 1 -2), 30.38 deg, rel. 1000
(2 0 -4), 42.95 deg, rel. 111
(7 1 -2), 43.10 deg, rel. 221
(5 1 2), 43.86 deg, rel. 234
(0 2 0), 44.11 deg, rel. 121
(6 2 0), 54.47 deg, rel. 119

***

(6)
Computed powder diffractogram
Compound: Nd8Si3Te4Cl
Radiation: Cu Kα (weighted mean of Kα1 and Kα2)
Structure: DFT lattice parameters and positions (GGA-PBE)
Kinematic intensities with the Lorentz-polarization factor, no thermal factor.

Structural model:
Cell: 8.6837 8.6837 21.9229 Å, 90.00 90.00 120.00°
Space group R-3m (No. 166, hexagonal axes)
Symmetry-distinct sites (fractional):
Nd (0.0000, 0.0000, 0.2410) (multiplicity 6)
Nd (0.0123, 0.5061, 0.7589) (multiplicity 18)
Si (0.0000, 0.5000, 0.5000) (multiplicity 9)
Te (0.0000, 0.0000, 0.0000) (multiplicity 3)
Te (0.0000, 0.5000, 0.0000) (multiplicity 9)
Cl (0.0000, 0.0000, 0.5000) (multiplicity 3)

Principal peaks in the range 2θ from 10° to 80°, in order of rising 2θ:
(2 0 2), 25.04 deg, rel. 126
(0 2 4), 28.79 deg, rel. 1000
(2 0 5), 31.34 deg, rel. 126
(2 0 8), 40.74 deg, rel. 352
(2 2 0), 41.60 deg, rel. 374
(4 0 4), 51.38 deg, rel. 194
(0 4 8), 59.64 deg, rel. 112
(2 2 12), 66.94 deg, rel. 133
(2 4 4), 68.16 deg, rel. 162
(4 2 8), 75.33 deg, rel. 110

***

(7)
Computed powder diffractogram
Compound: SrNdCl5
Radiation: Cu Kα (weighted mean of Kα1 and Kα2)
Structure: DFT lattice parameters and positions (GGA-PBE)
Kinematic intensities with the Lorentz-polarization factor, no thermal factor.

Structural model:
Cell: 7.2711 13.8007 10.2669 Å, 90.00 109.45 90.00°
Space group P2_1/c (No. 14)
Symmetry-distinct sites (fractional):
Sr (0.0331, 0.0174, 0.2555) (multiplicity 4)
Nd (0.3952, 0.2435, 0.6032) (multiplicity 4)
Cl (0.0783, 0.1168, 0.5566) (multiplicity 4)
Cl (0.1431, 0.1041, 0.9922) (multiplicity 4)
Cl (0.2852, 0.6494, 0.3615) (multiplicity 4)
Cl (0.3419, 0.1792, 0.3373) (multiplicity 4)
Cl (0.3864, 0.5889, 0.7839) (multiplicity 4)

Principal peaks in the range 2θ from 10° to 80°, in order of rising 2θ:
(1 1 0), 14.43 deg, rel. 425
(1 2 0), 18.24 deg, rel. 1000
(0 1 2), 19.43 deg, rel. 492
(1 1 -2), 19.68 deg, rel. 397
(2 3 0), 32.58 deg, rel. 341
(1 0 -4), 34.98 deg, rel. 277
(1 4 2), 36.84 deg, rel. 303
(2 4 -2), 37.25 deg, rel. 230
(0 2 4), 39.45 deg, rel. 241
(3 1 0), 39.98 deg, rel. 195